[1]
The following is a computed powder diffractogram of Ac2Pr8Nd. It was derived from DFT lattice parameters and positions (PBE), using Cu Kα X-rays.

The 10 most intense peaks (10° ≤ 2θ ≤ 90°), low angle first:
2θ 22.56, I 36
2θ 27.57, I 36
2θ 28.54, I 65
2θ 29.28, I 68
2θ 29.39, I 100
2θ 30.06, I 47
2θ 30.47, I 93
2θ 31.26, I 83
2θ 33.20, I 28
2θ 59.80, I 27

Structure:
```
Ac2Pr8Nd
1.0
8.606 -3.501 0.000
8.606 3.501 0.000
-1.248 0.000 6.968
Ac Pr Nd
2 8 1
Cartesian
3.036 0.000 2.197
12.929 0.000 4.771
6.996 1.655 0.694
3.203 0.000 5.760
8.969 1.655 6.274
6.360 0.000 4.148
9.604 0.000 2.820
6.996 -1.655 0.694
12.762 0.000 1.208
8.969 -1.655 6.274
-0.624 0.000 3.484
```

=====

[2]
The following is a computed powder diffractogram of Ca2LaHg. It was derived from DFT lattice parameters and positions (PBE), using Cu Kα X-rays.

The 10 most intense peaks (10° ≤ 2θ ≤ 90°), low angle first:
2θ 19.16, I 61
2θ 31.50, I 100
2θ 31.61, I 50
2θ 37.04, I 12
2θ 37.16, I 12
2θ 37.29, I 12
2θ 49.57, I 11
2θ 56.03, I 19
2θ 56.16, I 19
2θ 56.30, I 19

Structure:
```
Ca2LaHg
1.0
0.000 4.012 4.029
3.994 0.000 4.029
3.994 4.012 0.000
Ca La Hg
2 1 1
Cartesian
0.000 0.000 0.000
1.997 2.006 2.015
5.991 6.019 6.044
3.994 4.012 4.029
```

=====

[3]
The following is a computed powder diffractogram of AlFe2Ni9. It was derived from DFT lattice parameters and positions (PBE), using Cu Kα X-rays.

The 10 most intense peaks (10° ≤ 2θ ≤ 90°), low angle first:
2θ 16.69, I 1
2θ 25.09, I 2
2θ 26.45, I 1
2θ 30.26, I 1
2θ 35.78, I 1
2θ 44.20, I 100
2θ 51.43, I 31
2θ 51.61, I 15
2θ 75.71, I 9
2θ 75.85, I 18

Structure:
```
AlFe2Ni9
1.0
3.553 0.000 0.000
0.000 3.553 0.000
0.000 0.000 10.626
Al Fe Ni
1 2 9
Cartesian
0.000 0.000 0.000
0.000 0.000 3.538
0.000 0.000 7.088
0.000 1.777 1.803
0.000 1.777 5.313
0.000 1.777 8.823
1.777 0.000 1.803
1.777 0.000 5.313
1.777 0.000 8.823
1.777 1.777 0.000
1.777 1.777 3.551
1.777 1.777 7.076
```

=====

[4]
The following is a computed powder diffractogram of Ba3Sn2Pt. It was derived from DFT lattice parameters and positions (PBE), using Cu Kα X-rays.

The 10 most intense peaks (10° ≤ 2θ ≤ 90°), low angle first:
2θ 14.44, I 24
2θ 17.62, I 37
2θ 23.21, I 31
2θ 24.46, I 29
2θ 26.69, I 94
2θ 27.72, I 41
2θ 30.44, I 100
2θ 34.63, I 30
2θ 36.24, I 23
2θ 36.97, I 28

Structure:
```
Ba3Sn2Pt
1.0
5.528 -5.114 0.000
5.528 5.114 0.000
-2.446 0.000 8.281
Ba Sn Pt
6 4 2
Cartesian
3.693 4.043 6.211
3.573 0.732 0.232
2.350 -0.732 4.372
6.260 0.732 3.909
5.037 -0.732 8.049
4.916 -4.043 2.070
2.372 2.801 2.899
7.461 2.801 1.242
1.149 -2.801 7.040
6.238 -2.801 5.382
4.916 2.967 2.070
3.693 -2.967 6.211
```

=====

[5]
The following is a computed powder diffractogram of Pm8Pr3Er. It was derived from DFT lattice parameters and positions (PBE), using Cu Kα X-rays.

The 10 most intense peaks (10° ≤ 2θ ≤ 90°), low angle first:
2θ 14.13, I 31
2θ 23.73, I 62
2θ 25.32, I 50
2θ 28.48, I 80
2θ 30.92, I 72
2θ 32.49, I 30
2θ 35.59, I 100
2θ 42.53, I 53
2θ 43.73, I 64
2θ 55.17, I 30

Structure:
```
Pm8Pr3Er
1.0
-4.432 4.432 5.785
4.432 -4.432 5.785
4.432 4.432 -5.785
Pm Pr Er
8 3 1
Cartesian
3.334 3.334 -2.927
2.182 2.182 -0.100
2.250 -2.250 5.885
1.098 1.098 2.858
1.098 -1.098 8.711
2.250 2.250 5.684
-2.250 2.250 5.885
-1.098 1.098 8.711
4.432 0.000 2.892
0.000 0.000 5.785
0.000 4.432 2.892
0.000 0.000 0.000
```

=====

[6]
The following is a computed powder diffractogram of SiIrF3. It was derived from DFT lattice parameters and positions (PBE), using Cu Kα X-rays.

The 10 most intense peaks (10° ≤ 2θ ≤ 90°), low angle first:
2θ 21.54, I 57
2θ 30.65, I 100
2θ 37.77, I 47
2θ 43.89, I 36
2θ 49.40, I 29
2θ 54.48, I 41
2θ 63.81, I 22
2θ 72.45, I 18
2θ 76.60, I 16
2θ 88.72, I 23

Structure:
```
SiIrF3
1.0
4.125 0.000 0.000
0.000 4.125 0.000
0.000 0.000 4.125
Si Ir F
1 1 3
Cartesian
0.000 0.000 0.000
2.063 2.063 2.063
0.000 0.000 2.063
0.000 2.063 0.000
2.063 0.000 0.000
```

=====

[7]
The following is a computed powder diffractogram of CePu3Np4S8. It was derived from DFT lattice parameters and positions (PBE), using Cu Kα X-rays.

The 10 most intense peaks (10° ≤ 2θ ≤ 90°), low angle first:
2θ 27.79, I 100
2θ 32.20, I 96
2θ 46.06, I 12
2θ 46.17, I 47
2θ 54.71, I 33
2θ 54.84, I 17
2θ 57.30, I 13
2θ 57.52, I 12
2θ 76.63, I 22
2θ 85.42, I 13

Structure:
```
CePu3Np4S8
1.0
6.816 -3.921 0.000
6.816 3.921 0.000
-4.556 0.000 6.432
Ce Pu Np S
1 3 4 8
Cartesian
0.000 0.000 0.000
1.130 1.961 3.216
1.130 -1.961 3.216
6.816 0.000 0.000
-2.278 0.000 3.216
3.408 1.961 0.000
3.408 -1.961 0.000
4.538 0.000 3.216
-0.032 0.000 4.845
5.633 1.934 1.622
2.302 0.000 1.616
3.443 1.934 4.810
5.633 -1.934 1.622
6.775 0.000 4.816
3.443 -1.934 4.810
9.108 0.000 1.587
```

=====

[8]
The following is a computed powder diffractogram of CsSrF3. It was derived from DFT lattice parameters and positions (PBE), using Cu Kα X-rays.

The 10 most intense peaks (10° ≤ 2θ ≤ 90°), low angle first:
2θ 24.63, I 100
2θ 28.51, I 31
2θ 40.76, I 53
2θ 48.20, I 48
2θ 50.49, I 11
2θ 59.01, I 8
2θ 64.91, I 20
2θ 66.82, I 16
2θ 74.19, I 14
2θ 79.55, I 15

Structure:
```
CsSrF3
1.0
0.000 6.262 6.262
6.262 0.000 6.262
6.262 6.262 0.000
Cs Sr F
4 4 12
Cartesian
0.000 0.000 0.000
3.131 3.131 0.000
3.131 0.000 3.131
0.000 3.131 3.131
6.262 3.131 3.131
3.131 6.262 3.131
3.131 3.131 6.262
6.262 6.262 6.262
4.696 4.696 2.108
4.696 2.108 4.696
7.284 4.696 4.696
7.827 7.827 5.239
7.827 5.239 7.827
10.415 7.827 7.827
2.108 4.696 4.696
4.696 7.284 4.696
4.696 4.696 7.284
5.239 7.827 7.827
7.827 10.415 7.827
7.827 7.827 10.415
```